# Pm7Pr2Tm3
Calculated powder diffractogram, Cu Ka. Input: a crystal structure in Alexandria, relaxed with PBE.
Intensities are scaled so that the largest is 100.

Structure:
```
12
Lattice="6.454 0.000 0.000 0.000 3.570 0.000 -1.815 0.000 17.563" Properties=species:S:1:pos:R:3 pbc="T T T"
Pm 0.000 0.000 0.000
Pm 1.172 1.785 2.982
Pm 0.768 1.785 8.715
Pm 0.275 0.000 14.697
Pm 4.363 0.000 2.866
Pm 3.871 1.785 8.848
Pm 3.467 1.785 14.581
Pr -0.840 1.785 11.787
Pr 5.478 1.785 5.776
Tm 2.317 0.000 6.004
Tm 3.227 1.785 0.000
Tm 2.322 0.000 11.559
```

Top 10 peaks for 2θ from 5° to 70°, in order of rising 2θ:
29.32°, intensity 60, hkl 1 1 1
30.35°, intensity 82, hkl 2 0 -3
30.54°, intensity 100, hkl 0 0 6
30.89°, intensity 99, hkl 1 1 2
33.18°, intensity 68, hkl 2 0 3
34.42°, intensity 84, hkl 1 1 -4
37.61°, intensity 30, hkl 1 1 -5
49.47°, intensity 39, hkl 3 1 -1
51.18°, intensity 26, hkl 0 2 0
60.78°, intensity 28, hkl 0 2 6